(1)
Computed powder X-ray diffraction pattern
Compound: Pr3Dy2Cd3
Radiation: Cu Kα (λ = 1.5418 Å)
Structure: a structure optimized by DFT (GGA-PBE)
Intensities are scaled so that the largest is 100.

Cell and atoms:
Unit cell a=3.794 b=5.551 c=22.657 alpha=90.00 beta=90.00 gamma=90.00
Space group Immm (No. 71)
Inequivalent atoms, fractional coordinates:
Pr 0.000 0.000 0.000
Pr 0.000 0.500 0.124
Dy 0.000 0.000 0.235
Cd 0.000 0.000 0.500
Cd 0.000 0.500 0.378

Top 10 peaks for 5° ≤ 2θ ≤ 70°, in order of falling intensity:
- 32.67 deg, I = 100.0, (1 1 4)
- 32.26 deg, I = 27.0, (0 2 0)
- 31.59 deg, I = 24.1, (0 0 8)
- 57.78 deg, I = 19.2, (1 3 4)
- 45.77 deg, I = 17.1, (0 2 8)
- 56.95 deg, I = 14.3, (1 1 12)
- 68.45 deg, I = 10.1, (2 2 8)
- 58.97 deg, I = 9.4, (2 2 0)
- 47.95 deg, I = 8.8, (2 0 0)
- 58.56 deg, I = 8.1, (2 0 8)



(2)
Computed powder X-ray diffraction pattern
Compound: Pr2Dy3Cd4
Radiation: Cu Kα (λ = 1.5418 Å)
Structure: a structure optimized by DFT (GGA-PBE)
Intensities are scaled so that the largest is 100.

Cell and atoms:
Unit cell a=6.867 b=18.540 c=8.277 alpha=90.00 beta=90.00 gamma=90.00
Space group Cmce (No. 64)
Inequivalent atoms, fractional coordinates:
Pr 0.000 0.092 0.100
Dy 0.000 0.000 0.500
Dy 0.250 0.246 0.750
Cd 0.000 0.163 0.488
Cd 0.250 0.075 0.750

Top 10 peaks for 5° ≤ 2θ ≤ 70°, in order of falling intensity:
- 33.92 deg, I = 100.0, (2 0 2)
- 29.43 deg, I = 50.4, (1 5 1)
- 36.28 deg, I = 45.0, (0 6 2)
- 60.19 deg, I = 38.2, (2 6 4)
- 37.99 deg, I = 29.7, (1 7 1)
- 29.77 deg, I = 29.7, (2 2 1)
- 39.23 deg, I = 27.1, (2 6 0)
- 28.91 deg, I = 19.2, (0 6 0)
- 35.39 deg, I = 17.9, (1 1 3)
- 27.71 deg, I = 16.1, (2 2 0)



(3)
Computed powder X-ray diffraction pattern
Compound: PrDy4Cd
Radiation: Cu Kα (λ = 1.5418 Å)
Structure: a structure optimized by DFT (GGA-PBE)
Intensities are scaled so that the largest is 100.

Cell and atoms:
Unit cell a=8.764 b=14.221 c=6.323 alpha=90.00 beta=109.10 gamma=90.00
Space group C2/c (No. 15)
Inequivalent atoms, fractional coordinates:
Pr 0.000 0.090 0.250
Dy 0.098 0.310 0.544
Dy 0.218 0.123 0.876
Cd 0.000 0.500 0.250

Top 10 peaks for 5° ≤ 2θ ≤ 70°, in order of falling intensity:
- 32.58 deg, I = 100.0, (2 2 1)
- 33.34 deg, I = 74.6, (1 5 0)
- 31.57 deg, I = 69.2, (3 1 -1)
- 34.10 deg, I = 64.5, (1 3 -2)
- 33.20 deg, I = 40.4, (2 2 -2)
- 28.27 deg, I = 37.3, (1 3 1)
- 28.95 deg, I = 29.6, (1 1 -2)
- 53.97 deg, I = 19.4, (4 2 -3)
- 59.09 deg, I = 17.5, (5 3 0)
- 50.95 deg, I = 16.0, (1 1 3)



(4)
Computed powder X-ray diffraction pattern
Compound: Pr12Dy7Cd
Radiation: Cu Kα (λ = 1.5418 Å)
Structure: a structure optimized by DFT (GGA-PBE)
Intensities are scaled so that the largest is 100.

Cell and atoms:
Unit cell a=11.564 b=11.564 c=11.564 alpha=90.00 beta=90.00 gamma=90.00
Space group Im-3 (No. 204)
Inequivalent atoms, fractional coordinates:
Pr 0.000 0.273 0.212
Dy 0.000 0.000 0.500
Dy 0.250 0.250 0.250
Cd 0.000 0.000 0.000

Top 10 peaks for 5° ≤ 2θ ≤ 70°, in order of falling intensity:
- 30.93 deg, I = 100.0, (4 0 0)
- 44.31 deg, I = 58.6, (4 4 0)
- 26.70 deg, I = 56.6, (2 2 2)
- 38.12 deg, I = 32.7, (4 2 2)
- 21.74 deg, I = 31.8, (2 2 0)
- 15.32 deg, I = 22.0, (2 0 0)
- 28.89 deg, I = 21.7, (3 1 2)
- 68.90 deg, I = 19.2, (8 2 2)
- 24.34 deg, I = 18.7, (3 1 0)
- 48.53 deg, I = 17.6, (5 2 3)



(5)
Computed powder X-ray diffraction pattern
Compound: Pr2DyCd
Radiation: Cu Kα (λ = 1.5418 Å)
Structure: a structure optimized by DFT (GGA-PBE)
Intensities are scaled so that the largest is 100.

Cell and atoms:
Unit cell a=5.270 b=5.270 c=9.036 alpha=90.00 beta=90.00 gamma=90.00
Space group P4/nmm (No. 129, origin choice 2)
Inequivalent atoms, fractional coordinates:
Pr 0.250 0.250 0.223
Pr 0.250 0.750 0.500
Dy 0.250 0.250 0.782
Cd 0.250 0.750 0.000

Top 10 peaks for 5° ≤ 2θ ≤ 70°, in order of falling intensity:
- 31.11 deg, I = 100.0, (1 1 2)
- 34.02 deg, I = 42.5, (2 0 0)
- 59.08 deg, I = 31.8, (3 1 2)
- 53.43 deg, I = 17.1, (2 0 4)
- 48.88 deg, I = 15.2, (2 2 0)
- 39.91 deg, I = 10.1, (0 0 4)
- 64.87 deg, I = 9.5, (2 2 4)
- 67.03 deg, I = 5.7, (1 1 6)
- 56.60 deg, I = 4.6, (1 1 5)
- 45.75 deg, I = 4.2, (2 0 3)



(6)
Computed powder X-ray diffraction pattern
Compound: Pr4Dy5Cd
Radiation: Cu Kα (λ = 1.5418 Å)
Structure: a structure optimized by DFT (GGA-PBE)
Intensities are scaled so that the largest is 100.

Cell and atoms:
Unit cell a=10.804 b=10.804 c=5.800 alpha=90.00 beta=90.00 gamma=90.00
Space group I4mm (No. 107)
Inequivalent atoms, fractional coordinates:
Pr 0.000 0.316 0.000
Dy 0.000 0.000 0.814
Dy 0.183 0.183 0.512
Cd 0.000 0.000 0.295

Top 10 peaks for 5° ≤ 2θ ≤ 70°, in order of falling intensity:
- 29.19 deg, I = 100.0, (3 0 1)
- 35.24 deg, I = 41.6, (3 3 0)
- 59.57 deg, I = 19.5, (6 3 1)
- 47.52 deg, I = 15.8, (3 3 2)
- 30.83 deg, I = 15.2, (0 0 2)
- 53.82 deg, I = 15.2, (3 0 3)
- 35.12 deg, I = 15.1, (2 0 2)
- 50.70 deg, I = 13.0, (6 0 0)
- 59.17 deg, I = 10.9, (5 3 2)
- 33.67 deg, I = 9.1, (3 2 1)